[1]
# PrTaP
Computed XRD peak list, Cu Ka. Input: a PBE-relaxed structure.

Structural model:
Cell lengths 3.9129, 3.9129, 9.1794 Å; angles 90.00, 90.00, 90.00 degrees
Element x y z (fractional)
Pr 0.2500 0.2500 0.1812
Pr 0.7500 0.7500 0.8188
Ta 0.2500 0.7500 0.5000
Ta 0.7500 0.2500 0.5000
P 0.2500 0.2500 0.6905
P 0.7500 0.7500 0.3095

Peak list (12 most intense, 15 to 90 degrees two-theta, sorted by position)
| two_theta | Rel. int. |
| --- | --- |
| 24.7 | 34.9 |
| 29.2 | 48.2 |
| 30.0 | 36.7 |
| 33.8 | 81.8 |
| 38.0 | 100.0 |
| 45.8 | 19.6 |
| 46.4 | 40.5 |
| 51.8 | 19.1 |
| 55.8 | 32.2 |
| 60.5 | 29.4 |
| 77.9 | 15.1 |
| 80.4 | 23.0 |



[2]
# SrTb4Te5
Computed XRD peak list, Cu Ka. Input: a PBE-relaxed structure.

Structural model:
Cell lengths 11.7097, 11.7097, 11.7097 Å; angles 158.05, 149.02, 38.29 degrees
Element x y z (fractional)
Sr 0.0000 0.0000 0.0000
Tb 0.2067 0.2067 0.0000
Tb 0.3981 0.3981 0.0000
Tb 0.6019 0.6019 0.0000
Tb 0.7933 0.7933 0.0000
Te 0.1073 0.6073 0.5000
Te 0.3021 0.8021 0.5000
Te 0.5000 0.0000 0.5000
Te 0.6979 0.1979 0.5000
Te 0.8927 0.3927 0.5000

Peak list (12 most intense, 15 to 90 degrees two-theta, sorted by position)
| two_theta | Rel. int. |
| --- | --- |
| 28.4 | 100.0 |
| 28.5 | 50.6 |
| 40.5 | 19.7 |
| 40.7 | 93.5 |
| 50.3 | 21.0 |
| 50.5 | 19.0 |
| 58.8 | 12.0 |
| 66.4 | 8.9 |
| 66.6 | 16.4 |
| 66.8 | 24.7 |
| 73.8 | 13.0 |
| 74.2 | 16.8 |



[3]
# Na3AsH4
Computed XRD peak list, Cu Ka. Input: a PBE-relaxed structure.

Structural model:
Cell lengths 8.6996, 8.6996, 5.1627 Å; angles 90.12, 90.12, 22.51 degrees
Element x y z (fractional)
Na 0.0000 0.0000 0.0000
Na 0.1398 0.1398 0.5008
Na 0.8602 0.8602 0.4992
As 0.5000 0.5000 0.5000
H 0.3041 0.3041 0.9229
H 0.3050 0.3050 0.0725
H 0.6950 0.6950 0.9275
H 0.6959 0.6959 0.0771

Peak list (12 most intense, 15 to 90 degrees two-theta, sorted by position)
| two_theta | Rel. int. |
| --- | --- |
| 17.2 | 62.2 |
| 20.1 | 22.9 |
| 20.8 | 14.6 |
| 30.7 | 26.9 |
| 31.5 | 26.5 |
| 32.0 | 27.8 |
| 34.8 | 28.1 |
| 35.4 | 100.0 |
| 36.4 | 16.9 |
| 41.4 | 36.6 |
| 47.0 | 17.2 |
| 62.7 | 16.4 |



[4]
# AcCo13
Computed XRD peak list, Cu Ka. Input: a PBE-relaxed structure.

Structural model:
Cell lengths 8.0201, 8.0201, 8.0201 Å; angles 60.00, 60.00, 60.00 degrees
Element x y z (fractional)
Ac 0.2500 0.2500 0.2500
Ac 0.7500 0.7500 0.7500
Co 0.0000 0.0000 0.0000
Co 0.0602 0.2940 0.7060
Co 0.0602 0.7060 0.9398
Co 0.0602 0.9398 0.2940
Co 0.2060 0.4398 0.7940
Co 0.2060 0.5602 0.4398
Co 0.2060 0.7940 0.5602
Co 0.2940 0.0602 0.9398
Co 0.2940 0.7060 0.0602
Co 0.2940 0.9398 0.7060
Co 0.4398 0.2060 0.5602
Co 0.4398 0.5602 0.7940
Co 0.4398 0.7940 0.2060
Co 0.5000 0.5000 0.5000
Co 0.5602 0.2060 0.7940
Co 0.5602 0.4398 0.2060
Co 0.5602 0.7940 0.4398
Co 0.7060 0.0602 0.2940
Co 0.7060 0.2940 0.9398
Co 0.7060 0.9398 0.0602
Co 0.7940 0.2060 0.4398
Co 0.7940 0.4398 0.5602
Co 0.7940 0.5602 0.2060
Co 0.9398 0.0602 0.7060
Co 0.9398 0.2940 0.0602
Co 0.9398 0.7060 0.2940

Peak list (12 most intense, 15 to 90 degrees two-theta, sorted by position)
| two_theta | Rel. int. |
| --- | --- |
| 22.2 | 23.9 |
| 27.2 | 21.0 |
| 35.4 | 71.9 |
| 38.9 | 100.0 |
| 47.4 | 72.9 |
| 50.9 | 30.1 |
| 56.2 | 14.7 |
| 58.7 | 20.2 |
| 61.1 | 25.9 |
| 68.2 | 20.3 |
| 83.5 | 15.2 |
| 87.8 | 20.2 |



[5]
# ErTeO4
Computed XRD peak list, Cu Ka. Input: a PBE-relaxed structure.

Structural model:
Cell lengths 5.3776, 4.9740, 12.7530 Å; angles 90.00, 90.04, 90.00 degrees
Element x y z (fractional)
Er 0.2502 0.0000 0.0795
Er 0.2497 0.4997 0.5841
Er 0.7503 0.9997 0.4159
Er 0.7498 0.5000 0.9205
Te 0.2497 0.9999 0.8229
Te 0.2503 0.4997 0.3292
Te 0.7497 0.9997 0.6708
Te 0.7503 0.4999 0.1771
O 0.0334 0.7384 0.1871
O 0.0863 0.7954 0.9318
O 0.0927 0.7221 0.4402
O 0.0969 0.7789 0.7069
O 0.4015 0.2206 0.7070
O 0.4080 0.2772 0.4404
O 0.4135 0.2045 0.9319
O 0.4676 0.2610 0.1873
O 0.5324 0.7610 0.8127
O 0.5865 0.7045 0.0681
O 0.5920 0.7772 0.5596
O 0.5985 0.7206 0.2930
O 0.9031 0.2789 0.2931
O 0.9073 0.2221 0.5598
O 0.9137 0.2954 0.0682
O 0.9666 0.2384 0.8129

Peak list (12 most intense, 15 to 90 degrees two-theta, sorted by position)
| two_theta | Rel. int. |
| --- | --- |
| 25.4 | 100.0 |
| 27.6 | 30.4 |
| 32.3 | 17.0 |
| 32.7 | 33.8 |
| 33.3 | 19.1 |
| 36.1 | 12.4 |
| 39.7 | 11.1 |
| 43.8 | 18.9 |
| 49.5 | 32.0 |
| 50.0 | 19.2 |
| 54.9 | 11.1 |
| 59.1 | 10.8 |



[6]
# Tb2Zn2SnRh5
Computed XRD peak list, Cu Ka. Input: a PBE-relaxed structure.

Structural model:
Cell lengths 9.7091, 9.7091, 3.6674 Å; angles 90.00, 90.00, 90.00 degrees
Element x y z (fractional)
Tb 0.1738 0.3262 0.0000
Tb 0.3262 0.8262 0.0000
Tb 0.6738 0.1738 0.0000
Tb 0.8262 0.6738 0.0000
Zn 0.1238 0.6238 0.0000
Zn 0.3762 0.1238 0.0000
Zn 0.6238 0.8762 0.0000
Zn 0.8762 0.3762 0.0000
Sn 0.0000 0.0000 0.0000
Sn 0.5000 0.5000 0.0000
Rh 0.0000 0.5000 0.5000
Rh 0.0683 0.7945 0.5000
Rh 0.2055 0.0683 0.5000
Rh 0.2945 0.5683 0.5000
Rh 0.4317 0.2945 0.5000
Rh 0.5000 0.0000 0.5000
Rh 0.5683 0.7055 0.5000
Rh 0.7055 0.4317 0.5000
Rh 0.7945 0.9317 0.5000
Rh 0.9317 0.2055 0.5000

Peak list (12 most intense, 15 to 90 degrees two-theta, sorted by position)
| two_theta | Rel. int. |
| --- | --- |
| 31.9 | 19.0 |
| 35.8 | 15.9 |
| 38.2 | 100.0 |
| 39.4 | 9.8 |
| 41.6 | 32.3 |
| 44.8 | 5.8 |
| 49.7 | 15.2 |
| 64.4 | 16.5 |
| 66.8 | 12.7 |
| 75.9 | 6.5 |
| 81.8 | 7.1 |
| 85.5 | 10.0 |



[7]
# Ta2Au2Cl
Computed XRD peak list, Cu Ka. Input: a PBE-relaxed structure.

Structural model:
Cell lengths 8.2619, 8.2619, 2.9393 Å; angles 90.00, 90.00, 90.00 degrees
Element x y z (fractional)
Ta 0.1171 0.3829 0.0000
Ta 0.3829 0.8829 0.0000
Ta 0.6171 0.1171 0.0000
Ta 0.8829 0.6171 0.0000
Au 0.1718 0.6718 0.5000
Au 0.3282 0.1718 0.5000
Au 0.6718 0.8282 0.5000
Au 0.8282 0.3282 0.5000
Cl 0.0000 0.0000 0.5000
Cl 0.5000 0.5000 0.5000

Peak list (12 most intense, 15 to 90 degrees two-theta, sorted by position)
| two_theta | Rel. int. |
| --- | --- |
| 15.2 | 53.8 |
| 34.3 | 36.6 |
| 39.2 | 100.0 |
| 39.3 | 17.8 |
| 43.8 | 14.3 |
| 45.3 | 16.4 |
| 46.6 | 12.9 |
| 50.5 | 11.1 |
| 55.5 | 10.0 |
| 69.1 | 13.1 |
| 74.3 | 12.0 |
| 85.6 | 11.3 |



[8]
# La3PrB2N6
Computed XRD peak list, Cu Ka. Input: a PBE-relaxed structure.

Structural model:
Cell lengths 5.7493, 5.7493, 6.5529 Å; angles 90.00, 90.00, 120.00 degrees
Element x y z (fractional)
La 0.0000 0.0000 0.0000
La 0.3333 0.6667 0.6716
La 0.6667 0.3333 0.3284
Pr 0.0000 0.0000 0.5000
B 0.3333 0.6667 0.2468
B 0.6667 0.3333 0.7532
N 0.1872 0.3744 0.2664
N 0.1872 0.8128 0.2664
N 0.3744 0.1872 0.7336
N 0.6256 0.8128 0.2664
N 0.8128 0.1872 0.7336
N 0.8128 0.6256 0.7336

Peak list (12 most intense, 15 to 90 degrees two-theta, sorted by position)
| two_theta | Rel. int. |
| --- | --- |
| 17.8 | 23.6 |
| 22.4 | 43.4 |
| 31.1 | 100.0 |
| 32.7 | 98.3 |
| 38.7 | 26.3 |
| 45.8 | 46.2 |
| 55.4 | 19.2 |
| 56.4 | 37.2 |
| 59.4 | 16.0 |
| 64.9 | 15.2 |
| 74.6 | 18.4 |
| 77.2 | 16.4 |



[9]
# RhS5Cl
Computed XRD peak list, Cu Ka. Input: a PBE-relaxed structure.

Structural model:
Cell lengths 6.6255, 6.6255, 7.1068 Å; angles 115.38, 115.38, 41.32 degrees
Element x y z (fractional)
Rh 0.0000 0.0000 0.0000
S 0.0035 0.5889 0.8685
S 0.2017 0.2017 0.0874
S 0.4806 0.4806 0.6692
S 0.5595 0.5595 0.9784
S 0.5889 0.0035 0.8685
Cl 0.0468 0.0468 0.3550

Peak list (12 most intense, 15 to 90 degrees two-theta, sorted by position)
| two_theta | Rel. int. |
| --- | --- |
| 15.8 | 53.0 |
| 16.1 | 75.0 |
| 20.6 | 57.5 |
| 22.8 | 100.0 |
| 25.3 | 29.1 |
| 28.3 | 27.2 |
| 29.0 | 42.8 |
| 32.0 | 43.2 |
| 32.5 | 45.3 |
| 38.1 | 51.2 |
| 41.5 | 44.2 |
| 42.0 | 52.0 |



[10]
# CaPaTaO6
Computed XRD peak list, Cu Ka. Input: a PBE-relaxed structure.

Structural model:
Cell lengths 5.5358, 5.5358, 9.4519 Å; angles 90.00, 90.00, 120.00 degrees
Element x y z (fractional)
Ca 0.3333 0.6667 0.2500
Ca 0.6667 0.3333 0.7500
Pa 0.0000 0.0000 0.0000
Pa 0.0000 0.0000 0.5000
Ta 0.3333 0.6667 0.7500
Ta 0.6667 0.3333 0.2500
O 0.0484 0.3531 0.6301
O 0.0484 0.6953 0.8699
O 0.3047 0.3531 0.8699
O 0.3047 0.9516 0.6301
O 0.3531 0.0484 0.1301
O 0.3531 0.3047 0.3699
O 0.6469 0.6953 0.6301
O 0.6469 0.9516 0.8699
O 0.6953 0.0484 0.3699
O 0.6953 0.6469 0.1301
O 0.9516 0.3047 0.1301
O 0.9516 0.6469 0.3699

Peak list (12 most intense, 15 to 90 degrees two-theta, sorted by position)
| two_theta | Rel. int. |
| --- | --- |
| 18.5 | 13.2 |
| 20.8 | 26.2 |
| 26.5 | 100.0 |
| 32.3 | 42.3 |
| 42.3 | 29.2 |
| 50.8 | 35.9 |
| 54.2 | 28.4 |
| 57.7 | 13.5 |
| 62.0 | 9.5 |
| 74.1 | 11.4 |
| 80.4 | 8.9 |
| 80.8 | 10.0 |



[11]
# AcTlPdPt
Computed XRD peak list, Cu Ka. Input: a PBE-relaxed structure.

Structural model:
Cell lengths 5.1204, 5.1204, 5.1204 Å; angles 60.00, 60.00, 60.00 degrees
Element x y z (fractional)
Ac 0.0000 0.0000 0.0000
Tl 0.5000 0.5000 0.5000
Pd 0.2500 0.2500 0.2500
Pt 0.7500 0.7500 0.7500

Peak list (12 most intense, 15 to 90 degrees two-theta, sorted by position)
| two_theta | Rel. int. |
| --- | --- |
| 21.3 | 3.1 |
| 24.6 | 3.3 |
| 35.0 | 100.0 |
| 41.4 | 1.8 |
| 43.3 | 1.1 |
| 50.4 | 18.1 |
| 55.3 | 0.8 |
| 56.9 | 1.5 |
| 62.9 | 37.6 |
| 74.1 | 11.7 |
| 79.4 | 0.8 |
| 84.6 | 16.8 |



[12]
# Li3CO4
Computed XRD peak list, Cu Ka. Input: a PBE-relaxed structure.

Structural model:
Cell lengths 4.4301, 4.4301, 4.4301 Å; angles 109.47, 109.47, 109.47 degrees
Element x y z (fractional)
Li 0.0000 0.5000 0.5000
Li 0.5000 0.0000 0.5000
Li 0.5000 0.5000 0.0000
C 0.0000 0.0000 0.0000
O 0.0000 0.0000 0.6839
O 0.0000 0.6839 0.0000
O 0.3161 0.3161 0.3161
O 0.6839 0.0000 0.0000

Peak list (9 most intense, 15 to 90 degrees two-theta, sorted by position)
| two_theta | Rel. int. |
| --- | --- |
| 24.6 | 100.0 |
| 43.3 | 87.7 |
| 50.5 | 20.0 |
| 56.9 | 16.8 |
| 62.9 | 11.8 |
| 68.6 | 6.0 |
| 79.5 | 15.8 |
| 84.7 | 9.0 |
| 90.0 | 1.4 |



Copy entry 12 word for word.
# Li3CO4
Computed XRD peak list, Cu Ka. Input: a PBE-relaxed structure.

Structural model:
Cell lengths 4.4301, 4.4301, 4.4301 Å; angles 109.47, 109.47, 109.47 degrees
Element x y z (fractional)
Li 0.0000 0.5000 0.5000
Li 0.5000 0.0000 0.5000
Li 0.5000 0.5000 0.0000
C 0.0000 0.0000 0.0000
O 0.0000 0.0000 0.6839
O 0.0000 0.6839 0.0000
O 0.3161 0.3161 0.3161
O 0.6839 0.0000 0.0000

Peak list (9 most intense, 15 to 90 degrees two-theta, sorted by position)
| two_theta | Rel. int. |
| --- | --- |
| 24.6 | 100.0 |
| 43.3 | 87.7 |
| 50.5 | 20.0 |
| 56.9 | 16.8 |
| 62.9 | 11.8 |
| 68.6 | 6.0 |
| 79.5 | 15.8 |
| 84.7 | 9.0 |
| 90.0 | 1.4 |